Record 1
# SiBAuI
Computed powder diffraction line list, a wavelength of 1.5418 Å. Input: a structure optimized by DFT (PBE).
Peak positions follow from Bragg's law for the DFT cell and can differ from measured ones.

Top 10 peaks for 2θ from 5° to 70°, in order of falling intensity:
| 2θ (°) | I_rel |
| --- | --- |
| 26.1 | 1000 |
| 25.8 | 700 |
| 30.3 | 526 |
| 32.3 | 438 |
| 32.4 | 356 |
| 41.2 | 355 |
| 31.1 | 344 |
| 53.6 | 285 |
| 15.0 | 276 |
| 43.2 | 168 |

Cell and atoms:
```
SiBAuI
1.0
3.766 0.000 0.000
-0.011 4.187 0.000
-1.217 -0.019 5.900
Si B Au I
1 1 1 1
Cartesian
0.000 0.000 0.000
1.919 0.003 0.776
1.320 2.084 0.484
2.429 3.813 3.255
```

***

Record 2
# BPIrAu
Computed powder diffraction line list, a wavelength of 1.5418 Å. Input: a structure optimized by DFT (PBE).
Peak positions follow from Bragg's law for the DFT cell and can differ from measured ones.

Top 10 peaks for 2θ from 5° to 70°, in order of falling intensity:
| 2θ (°) | I_rel |
| --- | --- |
| 32.9 | 1000 |
| 30.4 | 929 |
| 45.4 | 904 |
| 12.9 | 809 |
| 50.5 | 476 |
| 39.3 | 464 |
| 25.9 | 332 |
| 40.1 | 297 |
| 51.1 | 286 |
| 40.2 | 279 |

Cell and atoms:
```
BPIrAu
1.0
2.968 0.000 0.000
0.000 2.938 0.000
-0.023 0.000 6.881
B P Ir Au
1 1 1 1
Cartesian
0.000 0.000 0.000
2.963 1.469 1.298
1.461 1.469 6.089
2.936 1.469 3.700
```

***

Record 3
# BPIrAu
Computed powder diffraction line list, a wavelength of 1.5418 Å. Input: a structure optimized by DFT (PBE).
Peak positions follow from Bragg's law for the DFT cell and can differ from measured ones.

Top 10 peaks for 2θ from 5° to 70°, in order of falling intensity:
| 2θ (°) | I_rel |
| --- | --- |
| 26.1 | 1000 |
| 34.3 | 976 |
| 38.4 | 572 |
| 29.9 | 454 |
| 48.3 | 410 |
| 31.7 | 300 |
| 14.8 | 272 |
| 41.6 | 253 |
| 57.6 | 240 |
| 50.9 | 233 |

Cell and atoms:
```
BPIrAu
1.0
7.342 0.000 0.000
0.000 2.953 0.000
-2.369 0.000 5.973
B P Ir Au
2 2 2 2
Cartesian
0.000 0.000 0.000
3.671 1.476 0.000
0.667 0.000 4.480
4.338 1.476 4.480
-0.779 1.476 5.704
2.892 0.000 5.704
0.692 0.000 2.103
4.363 1.476 2.103
```

***

Please write out number 3 again, unchanged.
# BPIrAu
Computed powder diffraction line list, a wavelength of 1.5418 Å. Input: a structure optimized by DFT (PBE).
Peak positions follow from Bragg's law for the DFT cell and can differ from measured ones.

Top 10 peaks for 2θ from 5° to 70°, in order of falling intensity:
| 2θ (°) | I_rel |
| --- | --- |
| 26.1 | 1000 |
| 34.3 | 976 |
| 38.4 | 572 |
| 29.9 | 454 |
| 48.3 | 410 |
| 31.7 | 300 |
| 14.8 | 272 |
| 41.6 | 253 |
| 57.6 | 240 |
| 50.9 | 233 |

Cell and atoms:
```
BPIrAu
1.0
7.342 0.000 0.000
0.000 2.953 0.000
-2.369 0.000 5.973
B P Ir Au
2 2 2 2
Cartesian
0.000 0.000 0.000
3.671 1.476 0.000
0.667 0.000 4.480
4.338 1.476 4.480
-0.779 1.476 5.704
2.892 0.000 5.704
0.692 0.000 2.103
4.363 1.476 2.103
```